1.
# HoFe3
Calculated X-ray diffraction stick pattern, Cu Kα X-rays. Input: a GGA-PBE-relaxed structure.
Intensities are scaled so that the largest is 100.

Atomic structure:
Cell lengths 8.6141, 8.6141, 8.6141 Å; angles 34.32, 34.32, 34.32 degrees
Atoms (fractional coordinates):
Ho (0.0000, 0.0000, 0.0000)
Ho (0.1419, 0.1419, 0.1419)
Ho (0.8581, 0.8581, 0.8581)
Fe (0.0820, 0.5810, 0.5810)
Fe (0.3328, 0.3328, 0.3328)
Fe (0.4190, 0.4190, 0.9180)
Fe (0.4190, 0.9180, 0.4190)
Fe (0.5000, 0.5000, 0.5000)
Fe (0.5810, 0.0820, 0.5810)
Fe (0.5810, 0.5810, 0.0820)
Fe (0.6672, 0.6672, 0.6672)
Fe (0.9180, 0.4190, 0.4190)

Principal peaks in the range 2θ = 10–90°, most intense first:
| d_spacing | Rel. int. |
| --- | --- |
| 2.153 | 100 |
| 2.542 | 57 |
| 2.726 | 53 |
| 2.192 | 39 |
| 2.500 | 36 |
| 1.380 | 23 |

=====

2.
# HoFe5
Calculated X-ray diffraction stick pattern, Cu Kα X-rays. Input: a GGA-PBE-relaxed structure.
Intensities are scaled so that the largest is 100.

Atomic structure:
Cell lengths 4.9858, 4.9858, 3.9472 Å; angles 90.00, 90.00, 120.00 degrees
Atoms (fractional coordinates):
Ho (0.0000, 0.0000, 0.0000)
Fe (0.0000, 0.5000, 0.5000)
Fe (0.3333, 0.6667, 0.0000)
Fe (0.5000, 0.0000, 0.5000)
Fe (0.5000, 0.5000, 0.5000)
Fe (0.6667, 0.3333, 0.0000)

Principal peaks in the range 2θ = 10–90°, most intense first:
| d_spacing | Rel. int. |
| --- | --- |
| 2.108 | 100 |
| 2.913 | 58 |
| 2.159 | 37 |
| 2.493 | 35 |
| 1.974 | 24 |
| 1.352 | 22 |

=====

3.
# Ho3Fe29
Calculated X-ray diffraction stick pattern, Cu Kα X-rays. Input: a GGA-PBE-relaxed structure.
Intensities are scaled so that the largest is 100.

Atomic structure:
Cell lengths 6.3398, 6.3398, 10.4072 Å; angles 95.35, 95.35, 82.41 degrees
Atoms (fractional coordinates):
Ho (0.0000, 0.0000, 0.0000)
Ho (0.1853, 0.1853, 0.5945)
Ho (0.8147, 0.8147, 0.4055)
Fe (0.0000, 0.5000, 0.0000)
Fe (0.0944, 0.0944, 0.2948)
Fe (0.0938, 0.5913, 0.7994)
Fe (0.1242, 0.6957, 0.2022)
Fe (0.1809, 0.4548, 0.3729)
Fe (0.1840, 0.6769, 0.5912)
Fe (0.2767, 0.2767, 0.8880)
Fe (0.2947, 0.2947, 0.1370)
Fe (0.3043, 0.8758, 0.7978)
Fe (0.3231, 0.8160, 0.4088)
Fe (0.3573, 0.6427, 0.0000)
Fe (0.4087, 0.9062, 0.2006)
Fe (0.4548, 0.1809, 0.3729)
Fe (0.4769, 0.4769, 0.7440)
Fe (0.5000, 0.0000, 0.0000)
Fe (0.5000, 0.5000, 0.5000)
Fe (0.5231, 0.5231, 0.2560)
Fe (0.5452, 0.8191, 0.6271)
Fe (0.5913, 0.0938, 0.7994)
Fe (0.6427, 0.3573, 0.0000)
Fe (0.6769, 0.1840, 0.5912)
Fe (0.6957, 0.1242, 0.2022)
Fe (0.7053, 0.7053, 0.8630)
Fe (0.7233, 0.7233, 0.1120)
Fe (0.8160, 0.3231, 0.4088)
Fe (0.8191, 0.5452, 0.6271)
Fe (0.8758, 0.3043, 0.7978)
Fe (0.9062, 0.4087, 0.2006)
Fe (0.9056, 0.9056, 0.7052)

Principal peaks in the range 2θ = 10–90°, most intense first:
| d_spacing | Rel. int. |
| --- | --- |
| 2.078 | 100 |
| 2.057 | 36 |
| 2.064 | 27 |
| 2.407 | 26 |
| 2.088 | 25 |
| 2.930 | 25 |

=====

4.
# Ho2Fe17
Calculated X-ray diffraction stick pattern, Cu Kα X-rays. Input: a GGA-PBE-relaxed structure.
Intensities are scaled so that the largest is 100.

Atomic structure:
Cell lengths 8.4820, 8.4820, 8.2419 Å; angles 90.00, 90.00, 120.00 degrees
Atoms (fractional coordinates):
Ho (0.0000, 0.0000, 0.2500)
Ho (0.0000, 0.0000, 0.7500)
Ho (0.3333, 0.6667, 0.2500)
Ho (0.6667, 0.3333, 0.7500)
Fe (0.0000, 0.5000, 0.0000)
Fe (0.0000, 0.5000, 0.5000)
Fe (0.0390, 0.3679, 0.7500)
Fe (0.0390, 0.6711, 0.7500)
Fe (0.1660, 0.3321, 0.0157)
Fe (0.1660, 0.3321, 0.4843)
Fe (0.1660, 0.8340, 0.0157)
Fe (0.1660, 0.8340, 0.4843)
Fe (0.3289, 0.3679, 0.7500)
Fe (0.3289, 0.9610, 0.7500)
Fe (0.3321, 0.1660, 0.5157)
Fe (0.3321, 0.1660, 0.9843)
Fe (0.3333, 0.6667, 0.6064)
Fe (0.3333, 0.6667, 0.8936)
Fe (0.3679, 0.0390, 0.2500)
Fe (0.3679, 0.3289, 0.2500)
Fe (0.5000, 0.0000, 0.0000)
Fe (0.5000, 0.0000, 0.5000)
Fe (0.5000, 0.5000, 0.0000)
Fe (0.5000, 0.5000, 0.5000)
Fe (0.6321, 0.6711, 0.7500)
Fe (0.6321, 0.9610, 0.7500)
Fe (0.6667, 0.3333, 0.1064)
Fe (0.6667, 0.3333, 0.3936)
Fe (0.6679, 0.8340, 0.0157)
Fe (0.6679, 0.8340, 0.4843)
Fe (0.6711, 0.0390, 0.2500)
Fe (0.6711, 0.6321, 0.2500)
Fe (0.8340, 0.1660, 0.5157)
Fe (0.8340, 0.1660, 0.9843)
Fe (0.8340, 0.6679, 0.5157)
Fe (0.8340, 0.6679, 0.9843)
Fe (0.9610, 0.3289, 0.2500)
Fe (0.9610, 0.6321, 0.2500)

Principal peaks in the range 2θ = 10–90°, most intense first:
| d_spacing | Rel. int. |
| --- | --- |
| 2.105 | 100 |
| 2.120 | 58 |
| 2.449 | 42 |
| 2.955 | 41 |
| 2.200 | 30 |
| 2.060 | 30 |

=====

5.
# Ho7FeI12
Calculated X-ray diffraction stick pattern, Cu Kα X-rays. Input: a GGA-PBE-relaxed structure.
Intensities are scaled so that the largest is 100.

Atomic structure:
Cell lengths 9.7457, 9.7457, 9.7457 Å; angles 107.03, 107.03, 107.03 degrees
Atoms (fractional coordinates):
Ho (0.0000, 0.0000, 0.0000)
Ho (0.2139, 0.4789, 0.4096)
Ho (0.4096, 0.2139, 0.4789)
Ho (0.4789, 0.4096, 0.2139)
Ho (0.5211, 0.5904, 0.7861)
Ho (0.5904, 0.7861, 0.5211)
Ho (0.7861, 0.5211, 0.5904)
Fe (0.5000, 0.5000, 0.5000)
I (0.0384, 0.1151, 0.3389)
I (0.1151, 0.3389, 0.0384)
I (0.1795, 0.5713, 0.7245)
I (0.2755, 0.8205, 0.4287)
I (0.3389, 0.0384, 0.1151)
I (0.4287, 0.2755, 0.8205)
I (0.5713, 0.7245, 0.1795)
I (0.6611, 0.9616, 0.8849)
I (0.7245, 0.1795, 0.5713)
I (0.8205, 0.4287, 0.2755)
I (0.8849, 0.6611, 0.9616)
I (0.9616, 0.8849, 0.6611)

Principal peaks in the range 2θ = 10–90°, most intense first:
| d_spacing | Rel. int. |
| --- | --- |
| 3.094 | 100 |
| 2.173 | 35 |
| 2.202 | 33 |
| 7.836 | 32 |
| 1.546 | 17 |
| 1.778 | 16 |

=====

6.
# HoFe10Mo2N
Calculated X-ray diffraction stick pattern, Cu Kα X-rays. Input: a GGA-PBE-relaxed structure.
Intensities are scaled so that the largest is 100.

Atomic structure:
Cell lengths 6.5681, 6.5681, 6.5681 Å; angles 137.45, 98.03, 97.09 degrees
Atoms (fractional coordinates):
Ho (0.0000, 0.0000, 0.0000)
Fe (0.0000, 0.0000, 0.5000)
Fe (0.0000, 0.5000, 0.0000)
Fe (0.2202, 0.7202, 0.5000)
Fe (0.2212, 0.5000, 0.7212)
Fe (0.3598, 0.3598, 0.0000)
Fe (0.5000, 0.0000, 0.0000)
Fe (0.5000, 0.5000, 0.5000)
Fe (0.6402, 0.6402, 0.0000)
Fe (0.7788, 0.5000, 0.2788)
Fe (0.7798, 0.2798, 0.5000)
Mo (0.3587, 0.0000, 0.3587)
Mo (0.6413, 0.0000, 0.6413)
N (0.0000, 0.5000, 0.5000)

Principal peaks in the range 2θ = 10–90°, most intense first:
| d_spacing | Rel. int. |
| --- | --- |
| 2.088 | 100 |
| 2.141 | 81 |
| 2.147 | 55 |
| 2.174 | 47 |
| 2.477 | 43 |
| 2.460 | 41 |

=====

7.
# HoFeNi
Calculated X-ray diffraction stick pattern, Cu Kα X-rays. Input: a GGA-PBE-relaxed structure.
Intensities are scaled so that the largest is 100.

Atomic structure:
Cell lengths 5.0844, 5.0844, 5.0844 Å; angles 124.33, 119.94, 86.39 degrees
Atoms (fractional coordinates):
Ho (0.3704, 0.1204, 0.2500)
Ho (0.6296, 0.8796, 0.7500)
Fe (0.0000, 0.0000, 0.5000)
Fe (0.0000, 0.5000, 0.0000)
Ni (0.0000, 0.5000, 0.5000)
Ni (0.5000, 0.5000, 0.0000)

Principal peaks in the range 2θ = 10–90°, most intense first:
| d_spacing | Rel. int. |
| --- | --- |
| 2.534 | 100 |
| 2.147 | 79 |
| 2.066 | 61 |
| 2.223 | 44 |
| 2.192 | 36 |
| 1.267 | 33 |

=====

8.
# HoFeNi4
Calculated X-ray diffraction stick pattern, Cu Kα X-rays. Input: a GGA-PBE-relaxed structure.
Intensities are scaled so that the largest is 100.

Atomic structure:
Cell lengths 4.9079, 4.9079, 3.9386 Å; angles 90.00, 90.00, 120.00 degrees
Atoms (fractional coordinates):
Ho (0.0000, 0.0000, 0.0000)
Fe (0.3333, 0.6667, 0.0000)
Ni (0.5003, 0.0006, 0.5000)
Ni (0.5003, 0.4997, 0.5000)
Ni (0.6667, 0.3333, 0.0000)
Ni (0.9994, 0.4997, 0.5000)

Principal peaks in the range 2θ = 10–90°, most intense first:
| d_spacing | Rel. int. |
| --- | --- |
| 2.083 | 100 |
| 2.889 | 57 |
| 2.125 | 38 |
| 2.454 | 32 |
| 1.969 | 26 |
| 1.333 | 22 |

=====

9.
# HoFe11Re
Calculated X-ray diffraction stick pattern, Cu Kα X-rays. Input: a GGA-PBE-relaxed structure.
Intensities are scaled so that the largest is 100.

Atomic structure:
Cell lengths 6.4259, 6.4259, 6.4259 Å; angles 137.23, 97.99, 97.30 degrees
Atoms (fractional coordinates):
Ho (0.0000, 0.0000, 0.0000)
Fe (0.0032, 0.0036, 0.4993)
Fe (0.0032, 0.5038, 0.9996)
Fe (0.2295, 0.5056, 0.7239)
Fe (0.2317, 0.7317, 0.5000)
Fe (0.3640, 0.0050, 0.3590)
Fe (0.5043, 0.0036, 0.0004)
Fe (0.5043, 0.5038, 0.5007)
Fe (0.6448, 0.6448, 0.0000)
Fe (0.6460, 0.0050, 0.6410)
Fe (0.7776, 0.2776, 0.5000)
Fe (0.7817, 0.5056, 0.2761)
Re (0.3655, 0.3655, 0.0000)

Principal peaks in the range 2θ = 10–90°, most intense first:
| d_spacing | Rel. int. |
| --- | --- |
| 2.099 | 100 |
| 2.049 | 68 |
| 2.411 | 35 |
| 2.108 | 32 |
| 2.423 | 32 |
| 2.946 | 31 |

=====

10.
# HoFeRu
Calculated X-ray diffraction stick pattern, Cu Kα X-rays. Input: a GGA-PBE-relaxed structure.
Intensities are scaled so that the largest is 100.

Atomic structure:
Cell lengths 5.1519, 5.1519, 5.1519 Å; angles 120.82, 117.48, 91.51 degrees
Atoms (fractional coordinates):
Ho (0.3724, 0.1224, 0.2500)
Ho (0.6276, 0.8776, 0.7500)
Fe (0.0000, 0.0000, 0.5000)
Fe (0.0000, 0.5000, 0.0000)
Ru (0.0000, 0.5000, 0.5000)
Ru (0.5000, 0.5000, 0.0000)

Principal peaks in the range 2θ = 10–90°, most intense first:
| d_spacing | Rel. int. |
| --- | --- |
| 2.248 | 100 |
| 2.188 | 87 |
| 2.574 | 80 |
| 2.168 | 42 |
| 1.287 | 35 |
| 2.544 | 31 |

=====

11.
# Ho4FeS7
Calculated X-ray diffraction stick pattern, Cu Kα X-rays. Input: a GGA-PBE-relaxed structure.
Intensities are scaled so that the largest is 100.

Atomic structure:
Cell lengths 6.4614, 6.4614, 11.3825 Å; angles 103.94, 103.94, 33.90 degrees
Atoms (fractional coordinates):
Ho (0.0000, 0.0000, 0.0000)
Ho (0.3874, 0.3874, 0.5921)
Ho (0.5813, 0.5813, 0.3556)
Ho (0.6945, 0.6945, 0.7989)
Fe (0.8054, 0.8054, 0.2165)
S (0.0334, 0.0334, 0.7404)
S (0.2033, 0.2033, 0.2856)
S (0.3564, 0.3564, 0.8444)
S (0.4226, 0.4226, 0.1453)
S (0.6622, 0.6622, 0.0204)
S (0.7291, 0.7291, 0.5762)
S (0.9482, 0.9482, 0.4292)

Principal peaks in the range 2θ = 10–90°, most intense first:
| d_spacing | Rel. int. |
| --- | --- |
| 3.622 | 100 |
| 3.554 | 95 |
| 1.883 | 83 |
| 2.556 | 58 |
| 2.641 | 55 |
| 2.738 | 49 |

=====

12.
# Ho4FeSe7
Calculated X-ray diffraction stick pattern, Cu Kα X-rays. Input: a GGA-PBE-relaxed structure.
Intensities are scaled so that the largest is 100.

Atomic structure:
Cell lengths 6.6192, 6.6192, 11.7637 Å; angles 103.51, 103.51, 34.39 degrees
Atoms (fractional coordinates):
Ho (0.0000, 0.0000, 0.0000)
Ho (0.3902, 0.3902, 0.5840)
Ho (0.5887, 0.5887, 0.3434)
Ho (0.6969, 0.6969, 0.7976)
Fe (0.8073, 0.8073, 0.2147)
Se (0.0351, 0.0351, 0.7338)
Se (0.2154, 0.2154, 0.2722)
Se (0.3614, 0.3614, 0.8402)
Se (0.4136, 0.4136, 0.1462)
Se (0.6683, 0.6683, 0.0248)
Se (0.7274, 0.7274, 0.5700)
Se (0.9451, 0.9451, 0.4119)

Principal peaks in the range 2θ = 10–90°, most intense first:
| d_spacing | Rel. int. |
| --- | --- |
| 2.827 | 100 |
| 2.862 | 99 |
| 2.723 | 93 |
| 2.642 | 91 |
| 3.656 | 77 |
| 1.957 | 74 |